Structure and calculated X-ray powder pattern of PaNbH4 (a cell relaxed with GGA-PBE; Cu Kα X-rays).
Peak positions follow from Bragg's law for the DFT cell and can differ from measured ones.

Structural model:
```
PaNbH4
1.0
4.2650 0.0000 0.0000
0.0000 4.8780 0.0000
0.0000 0.0000 5.4389
Pa Nb H
2 2 8
Direct
0.0000 0.0000 0.0000
0.5000 0.5000 0.0000
0.0000 0.5000 0.5000
0.5000 0.0000 0.5000
0.2500 0.2500 0.2932
0.2500 0.2500 0.7068
0.2500 0.7500 0.2932
0.2500 0.7500 0.7068
0.7500 0.2500 0.2932
0.7500 0.2500 0.7068
0.7500 0.7500 0.2932
0.7500 0.7500 0.7068
```

Peak list (10 most intense, 2θ = 10–90°, low angle first)
- d 5.439, 16.3 deg, rel. 19
- d 3.211, 27.8 deg, rel. 12
- d 2.765, 32.4 deg, rel. 100
- d 2.719, 32.9 deg, rel. 23
- d 2.439, 36.9 deg, rel. 17
- d 1.815, 50.3 deg, rel. 16
- d 1.678, 54.7 deg, rel. 12
- d 1.579, 58.5 deg, rel. 19
- d 1.463, 63.6 deg, rel. 15
- d 1.382, 67.8 deg, rel. 13

=====

Structure and calculated X-ray powder pattern of Nb2ReHPt (a cell relaxed with GGA-PBE; Cu Kα X-rays).
Peak positions follow from Bragg's law for the DFT cell and can differ from measured ones.

Structural model:
```
Nb2ReHPt
1.0
4.1566 0.0000 0.0000
0.0000 4.1566 0.0000
0.0000 0.0000 3.9427
Nb Re H Pt
2 1 1 1
Direct
0.0000 0.5000 0.0000
0.5000 0.0000 0.0000
0.0000 0.0000 0.5000
0.0000 0.0000 0.0000
0.5000 0.5000 0.5000
```

Peak list (10 most intense, 2θ = 10–90°, low angle first)
- d 3.943, 22.6 deg, rel. 9
- d 2.939, 30.4 deg, rel. 10
- d 2.356, 38.2 deg, rel. 100
- d 2.078, 43.5 deg, rel. 35
- d 1.971, 46.0 deg, rel. 15
- d 1.470, 63.3 deg, rel. 11
- d 1.430, 65.2 deg, rel. 21
- d 1.247, 76.4 deg, rel. 26
- d 1.200, 80.0 deg, rel. 12
- d 1.178, 81.7 deg, rel. 11

=====

Structure and calculated X-ray powder pattern of PuNbH4 (a cell relaxed with GGA-PBE; Cu Kα X-rays).
Peak positions follow from Bragg's law for the DFT cell and can differ from measured ones.

Structural model:
```
PuNbH4
1.0
3.2477 0.0000 0.0000
0.0000 3.2477 0.0000
0.0000 0.0000 5.4440
Pu Nb H
1 1 4
Direct
0.0000 0.0000 0.0000
0.5000 0.5000 0.5000
0.0000 0.5000 0.2948
0.0000 0.5000 0.7052
0.5000 0.0000 0.2948
0.5000 0.0000 0.7052
```

Peak list (10 most intense, 2θ = 10–90°, low angle first)
- d 5.444, 16.3 deg, rel. 20
- d 3.248, 27.5 deg, rel. 13
- d 2.789, 32.1 deg, rel. 100
- d 2.722, 32.9 deg, rel. 23
- d 2.296, 39.2 deg, rel. 28
- d 1.755, 52.1 deg, rel. 26
- d 1.584, 58.2 deg, rel. 19
- d 1.403, 66.6 deg, rel. 25
- d 1.395, 67.1 deg, rel. 12
- d 1.134, 85.7 deg, rel. 13

=====

Structure and calculated X-ray powder pattern of PuNb2H8 (a cell relaxed with GGA-PBE; Cu Kα X-rays).
Peak positions follow from Bragg's law for the DFT cell and can differ from measured ones.

Structural model:
```
PuNb2H8
1.0
4.3553 0.0000 0.0000
0.0000 4.3553 0.0000
0.0000 0.0000 5.3626
Pu Nb H
1 2 8
Direct
0.0000 0.0000 0.0000
0.0000 0.5000 0.5000
0.5000 0.0000 0.5000
0.2681 0.2681 0.2769
0.2681 0.2681 0.7231
0.2681 0.7319 0.2769
0.2681 0.7319 0.7231
0.7319 0.2681 0.2769
0.7319 0.2681 0.7231
0.7319 0.7319 0.2769
0.7319 0.7319 0.7231
```

Peak list (10 most intense, 2θ = 10–90°, low angle first)
- d 4.355, 20.4 deg, rel. 50
- d 3.381, 26.4 deg, rel. 56
- d 2.681, 33.4 deg, rel. 24
- d 2.671, 33.6 deg, rel. 100
- d 2.283, 39.5 deg, rel. 20
- d 2.178, 41.5 deg, rel. 27
- d 1.831, 49.8 deg, rel. 20
- d 1.690, 54.3 deg, rel. 26
- d 1.546, 59.8 deg, rel. 19
- d 1.334, 70.6 deg, rel. 35

=====

Structure and calculated X-ray powder pattern of NbHRh (a cell relaxed with GGA-PBE; Cu Kα X-rays).
Peak positions follow from Bragg's law for the DFT cell and can differ from measured ones.

Structural model:
```
NbHRh
1.0
4.6699 0.0000 0.0000
0.0000 2.8547 0.0000
-0.2519 0.0000 5.1010
Nb H Rh
2 2 2
Direct
0.2448 0.0000 0.1790
0.7552 0.0000 0.8210
0.0000 0.0000 0.5000
0.5000 0.5000 0.0000
0.2510 0.5000 0.6715
0.7490 0.5000 0.3285
```

Peak list (10 most intense, 2θ = 10–90°, low angle first)
- d 2.550, 35.2 deg, rel. 32
- d 2.491, 36.1 deg, rel. 35
- d 2.332, 38.6 deg, rel. 71
- d 2.286, 39.4 deg, rel. 43
- d 2.220, 40.6 deg, rel. 100
- d 2.193, 41.2 deg, rel. 40
- d 2.176, 41.5 deg, rel. 92
- d 1.682, 54.6 deg, rel. 20
- d 1.461, 63.7 deg, rel. 31
- d 1.215, 78.8 deg, rel. 24

=====

Structure and calculated X-ray powder pattern of NbHRh (a cell relaxed with GGA-PBE; Cu Kα X-rays).
Peak positions follow from Bragg's law for the DFT cell and can differ from measured ones.

Structural model:
```
NbHRh
1.0
4.2301 0.0000 0.0000
-0.3300 4.2215 0.0000
-1.9333 -2.1213 3.8890
Nb H Rh
2 2 2
Direct
0.0000 0.0000 0.0000
0.5003 0.5000 0.0004
0.0019 0.0012 0.4966
0.4997 0.0001 0.0004
0.2734 0.7230 0.4958
0.7278 0.2769 0.5051
```

Peak list (10 most intense, 2θ = 10–90°, low angle first)
- d 2.433, 36.9 deg, rel. 55
- d 2.422, 37.1 deg, rel. 53
- d 2.311, 39.0 deg, rel. 100
- d 2.110, 42.9 deg, rel. 72
- d 1.944, 46.7 deg, rel. 30
- d 1.554, 59.5 deg, rel. 13
- d 1.432, 65.1 deg, rel. 21
- d 1.427, 65.4 deg, rel. 20
- d 1.291, 73.3 deg, rel. 12
- d 1.237, 77.1 deg, rel. 13

=====

Structure and calculated X-ray powder pattern of NbHRu3 (a cell relaxed with GGA-PBE; Cu Kα X-rays).
Peak positions follow from Bragg's law for the DFT cell and can differ from measured ones.

Structural model:
```
NbHRu3
1.0
2.8283 -4.4539 0.0000
2.8283 4.4539 0.0000
-2.8083 0.0000 4.8835
Nb H Ru
2 2 6
Direct
0.0011 0.9989 0.5000
0.9989 0.0011 0.0000
0.5066 0.7833 0.3183
0.7833 0.5066 0.8183
0.0650 0.5610 0.1639
0.0759 0.5672 0.6558
0.4884 0.4903 0.9950
0.4903 0.4884 0.4950
0.5610 0.0650 0.6639
0.5672 0.0759 0.1558
```

Peak list (10 most intense, 2θ = 10–90°, low angle first)
- d 2.452, 36.7 deg, rel. 10
- d 2.442, 36.8 deg, rel. 28
- d 2.227, 40.5 deg, rel. 39
- d 2.148, 42.1 deg, rel. 56
- d 2.142, 42.2 deg, rel. 100
- d 1.647, 55.8 deg, rel. 14
- d 1.414, 66.1 deg, rel. 18
- d 1.269, 74.8 deg, rel. 27
- d 1.194, 80.5 deg, rel. 20
- d 1.178, 81.8 deg, rel. 15

=====

Structure and calculated X-ray powder pattern of NbHRu3 (a cell relaxed with GGA-PBE; Cu Kα X-rays).
Peak positions follow from Bragg's law for the DFT cell and can differ from measured ones.

Structural model:
```
NbHRu3
1.0
4.6697 -2.4502 0.0000
4.6697 2.4502 0.0000
-1.6948 0.0000 5.3753
Nb H Ru
2 2 6
Direct
0.0045 0.0045 0.2528
0.9955 0.9955 0.7472
0.5082 0.2158 0.1801
0.7842 0.4918 0.8199
0.0668 0.4404 0.1330
0.0734 0.4318 0.6217
0.4886 0.5114 0.5000
0.4897 0.5103 0.0000
0.5596 0.9332 0.8670
0.5682 0.9266 0.3783
```

Peak list (10 most intense, 2θ = 10–90°, low angle first)
- d 2.450, 36.7 deg, rel. 9
- d 2.443, 36.8 deg, rel. 27
- d 2.227, 40.5 deg, rel. 36
- d 2.145, 42.1 deg, rel. 100
- d 2.141, 42.2 deg, rel. 47
- d 1.647, 55.8 deg, rel. 13
- d 1.413, 66.1 deg, rel. 16
- d 1.269, 74.8 deg, rel. 17
- d 1.191, 80.7 deg, rel. 9
- d 1.178, 81.8 deg, rel. 15

=====

Structure and calculated X-ray powder pattern of NbSnHRu2 (a cell relaxed with GGA-PBE; Cu Kα X-rays).
Peak positions follow from Bragg's law for the DFT cell and can differ from measured ones.

Structural model:
```
NbSnHRu2
1.0
4.1696 0.0000 0.0000
0.0000 4.1696 0.0000
0.0000 0.0000 3.9288
Nb Sn H Ru
1 1 1 2
Direct
0.0000 0.0000 0.0000
0.5000 0.5000 0.0000
0.0000 0.0000 0.5000
0.0000 0.5000 0.5000
0.5000 0.0000 0.5000
```

Peak list (10 most intense, 2θ = 10–90°, low angle first)
- d 4.170, 21.3 deg, rel. 1
- d 2.859, 31.3 deg, rel. 1
- d 2.358, 38.2 deg, rel. 100
- d 2.085, 43.4 deg, rel. 35
- d 1.964, 46.2 deg, rel. 15
- d 1.474, 63.1 deg, rel. 11
- d 1.430, 65.3 deg, rel. 21
- d 1.250, 76.2 deg, rel. 26
- d 1.197, 80.2 deg, rel. 12
- d 1.179, 81.7 deg, rel. 11

=====

Structure and calculated X-ray powder pattern of NbHS (a cell relaxed with GGA-PBE; Cu Kα X-rays).
Peak positions follow from Bragg's law for the DFT cell and can differ from measured ones.

Structural model:
```
NbHS
1.0
-6.7571 6.7571 3.8042
6.7571 -6.7571 3.8042
6.7571 6.7571 -3.8042
Nb H S
16 16 16
Direct
0.0103 0.5860 0.6846
0.0860 0.9014 0.5758
0.0965 0.9160 0.9217
0.1743 0.4897 0.0758
0.3252 0.4035 0.3195
0.4014 0.3257 0.8154
0.4160 0.9944 0.8195
0.4944 0.1748 0.5783
0.5056 0.8252 0.4217
0.5840 0.0056 0.1805
0.5986 0.6743 0.1846
0.6748 0.5965 0.6805
0.8257 0.5103 0.9242
0.9035 0.0840 0.0783
0.9140 0.0986 0.4242
0.9897 0.4140 0.3154
0.0428 0.2450 0.2921
0.0710 0.7131 0.8824
0.2131 0.8307 0.6421
0.2507 0.5428 0.2977
0.2550 0.0471 0.7977
0.3114 0.4290 0.1421
0.3307 0.1887 0.6176
0.4529 0.7507 0.2079
0.5471 0.2493 0.7921
0.6693 0.8114 0.3824
0.6886 0.5710 0.8579
0.7450 0.9529 0.2023
0.7493 0.4572 0.7023
0.7869 0.1693 0.3579
0.9290 0.2869 0.1176
0.9572 0.7550 0.7079
0.0283 0.5917 0.1496
0.0579 0.1213 0.6496
0.0917 0.4421 0.5634
0.1346 0.0741 0.1468
0.3787 0.5283 0.9366
0.4259 0.0727 0.0605
0.4273 0.9878 0.3532
0.4878 0.6346 0.5605
0.5122 0.3654 0.4395
0.5727 0.0122 0.6468
0.5741 0.9273 0.9395
0.6213 0.4717 0.0634
0.8654 0.9259 0.8532
0.9083 0.5579 0.4366
0.9421 0.8787 0.3504
0.9717 0.4083 0.8504
```

Peak list (10 most intense, 2θ = 10–90°, low angle first)
- d 6.757, 13.1 deg, rel. 100
- d 3.379, 26.4 deg, rel. 35
- d 3.315, 26.9 deg, rel. 83
- d 3.010, 29.7 deg, rel. 42
- d 2.841, 31.5 deg, rel. 27
- d 2.384, 37.7 deg, rel. 53
- d 2.366, 38.0 deg, rel. 51
- d 2.339, 38.5 deg, rel. 49
- d 2.133, 42.4 deg, rel. 48
- d 2.034, 44.6 deg, rel. 32

=====

Structure and calculated X-ray powder pattern of Nb4H3S8 (a cell relaxed with GGA-PBE; Cu Kα X-rays).
Peak positions follow from Bragg's law for the DFT cell and can differ from measured ones.

Structural model:
```
Nb4H3S8
1.0
3.3500 0.0000 0.0000
-1.6750 2.9011 0.0000
0.0000 0.0000 27.4719
Nb H S
4 3 8
Direct
0.0000 0.0000 0.0000
0.0000 0.0000 0.5000
0.6667 0.3333 0.2492
0.6667 0.3333 0.7508
0.3333 0.6667 0.2492
0.3333 0.6667 0.5000
0.3333 0.6667 0.7508
0.0000 0.0000 0.1892
0.0000 0.0000 0.3091
0.0000 0.0000 0.6909
0.0000 0.0000 0.8108
0.6667 0.3333 0.0571
0.6667 0.3333 0.4401
0.6667 0.3333 0.5599
0.6667 0.3333 0.9429
```

Peak list (10 most intense, 2θ = 10–90°, low angle first)
- d 6.868, 12.9 deg, rel. 100
- d 2.901, 30.8 deg, rel. 22
- d 2.839, 31.5 deg, rel. 10
- d 2.672, 33.5 deg, rel. 13
- d 2.451, 36.7 deg, rel. 59
- d 1.995, 45.5 deg, rel. 38
- d 1.675, 54.8 deg, rel. 16
- d 1.627, 56.6 deg, rel. 16
- d 1.383, 67.8 deg, rel. 9
- d 1.199, 80.0 deg, rel. 10

=====

Structure and calculated X-ray powder pattern of NbTeHS (a cell relaxed with GGA-PBE; Cu Kα X-rays).
Peak positions follow from Bragg's law for the DFT cell and can differ from measured ones.

Structural model:
```
NbTeHS
1.0
3.5881 0.0000 0.0000
1.7934 3.1079 0.0000
0.0800 0.0293 7.3542
Nb Te H S
1 1 1 1
Direct
0.0000 0.0000 0.0000
0.6622 0.6643 0.2553
0.6711 0.6696 0.6201
0.6700 0.6684 0.8083
```

Peak list (10 most intense, 2θ = 10–90°, low angle first)
- d 7.354, 12.0 deg, rel. 100
- d 3.107, 28.7 deg, rel. 40
- d 2.869, 31.2 deg, rel. 37
- d 2.851, 31.4 deg, rel. 20
- d 2.385, 37.7 deg, rel. 30
- d 2.378, 37.8 deg, rel. 14
- d 2.367, 38.0 deg, rel. 33
- d 2.360, 38.1 deg, rel. 13
- d 1.919, 47.4 deg, rel. 14
- d 1.794, 50.9 deg, rel. 26